Entry 1:
# Ho5Tm5Pb6
Calculated XRD peak list, Cu Kα. Input: a PBE-relaxed structure.

Most intense lines, 10° ≤ 2θ ≤ 90°, sorted by position:
2θ (°)	d_spacing	I/Imax	(hkl)
27.15	3.285	23.1	2 0 0
30.42	2.939	24.9	0 4 2
33.40	2.683	100.0	1 4 2
33.81	2.651	68.3	2 3 1
34.61	2.592	36.0	0 3 3
52.09	1.756	29.0	3 4 2

Structure:
Lattice parameters (Å, degrees): 6.569 15.559 8.974 90.00 90.00 90.00
Space group Amm2 (No. 38)
One atom of each set of equivalent atoms:
Ho (0.000, 0.000, 0.000) x2
Ho (0.250, 0.167, 0.735) x8
Tm (0.000, 0.118, 0.353) x4
Tm (0.500, 0.000, 0.470) x2
Tm (0.500, 0.118, 0.118) x4
Pb (0.000, 0.000, 0.629) x2
Pb (0.000, 0.197, 0.038) x4
Pb (0.500, 0.000, 0.842) x2
Pb (0.500, 0.197, 0.432) x4

Entry 2:
# Y4HoPb5
Calculated XRD peak list, Cu Kα. Input: a PBE-relaxed structure.

Most intense lines, 10° ≤ 2θ ≤ 90°, sorted by position:
2θ (°)	d_spacing	I/Imax	(hkl)
24.48	3.636	19.0	1 2 1
28.35	3.149	100.0	3 1 0
40.52	2.226	77.6	3 1 2
50.19	1.818	28.1	2 4 2
66.39	1.408	36.6	6 2 2
73.70	1.285	27.2	5 5 2

Structure:
Lattice parameters (Å, degrees): 9.957 9.957 6.297 90.00 90.00 90.00
Space group I4 (No. 79)
One atom of each set of equivalent atoms:
Y (0.099, 0.700, 0.000) x8
Ho (0.000, 0.000, 0.502) x2
Pb (0.000, 0.000, 0.003) x2
Pb (0.100, 0.702, 0.500) x8

Entry 3:
# Ho5ZnPb4
Calculated XRD peak list, Cu Kα. Input: a PBE-relaxed structure.

Most intense lines, 10° ≤ 2θ ≤ 90°, sorted by position:
2θ (°)	d_spacing	I/Imax	(hkl)
28.45	3.137	33.4	0 0 2
29.11	3.068	100.0	3 1 0
41.16	2.193	60.1	3 1 2
41.63	2.169	36.6	2 4 0
51.20	1.784	27.8	2 4 2
68.37	1.372	15.6	1 7 0

Structure:
Lattice parameters (Å, degrees): 9.702 9.702 6.274 90.00 90.00 90.00
Space group I4 (No. 79)
One atom of each set of equivalent atoms:
Ho (0.000, 0.000, 0.000) x2
Ho (0.092, 0.694, 0.328) x8
Zn (0.000, 0.000, 0.497) x2
Pb (0.101, 0.716, 0.823) x8

Entry 4:
# Ho6Zn5Pb
Calculated XRD peak list, Cu Kα. Input: a PBE-relaxed structure.

Most intense lines, 10° ≤ 2θ ≤ 90°, sorted by position:
2θ (°)	d_spacing	I/Imax	(hkl)
35.20	2.549	100.0	1 2 3
35.29	2.543	20.2	2 0 0
50.66	1.802	21.1	2 0 6
63.11	1.473	21.0	1 2 9
63.29	1.469	21.5	3 2 3
85.15	1.139	12.1	3 2 9

Structure:
Lattice parameters (Å, degrees): 5.087 7.203 15.328 90.00 90.00 90.00
Space group Immm (No. 71)
One atom of each set of equivalent atoms:
Ho (0.000, 0.236, 0.000) x4
Ho (0.000, 0.257, 0.328) x8
Zn (0.000, 0.000, 0.168) x4
Zn (0.000, 0.500, 0.170) x4
Zn (0.000, 0.500, 0.500) x2
Pb (0.000, 0.000, 0.500) x2